Simulated PXRD pattern
Compound: NaAc2NpTe5
Radiation: Cu Kα (weighted mean of Kα1 and Kα2)
Structure: a PBE-relaxed structure
No peak broadening, texture or thermal motion is included.

Atomic structure:
Unit cell a=4.632 b=19.199 c=14.106 alpha=90.00 beta=90.00 gamma=90.00
Space group Cmc2_1 (No. 36)
Symmetry-distinct sites (fractional):
Na 0.000 0.036 0.000 x4
Ac 0.000 0.367 0.836 x4
Ac 0.000 0.395 0.220 x4
Np 0.000 0.298 0.544 x4
Te 0.000 0.007 0.305 x4
Te 0.000 0.134 0.534 x4
Te 0.000 0.189 0.888 x4
Te 0.000 0.219 0.196 x4
Te 0.000 0.444 0.617 x4

Top 10 peaks for 2θ from 15° to 90°, low angle first:
2θ = 15.59°, d = 5.684 Å, I = 12, (0 2 2)
2θ = 27.42°, d = 3.252 Å, I = 100, (1 1 3)
2θ = 28.61°, d = 3.121 Å, I = 35, (0 6 1)
2θ = 32.85°, d = 2.726 Å, I = 49, (1 5 2)
2θ = 33.10°, d = 2.707 Å, I = 13, (0 2 5)
2θ = 34.91°, d = 2.570 Å, I = 15, (1 3 4)
2θ = 38.88°, d = 2.316 Å, I = 27, (2 0 0)
2θ = 39.98°, d = 2.255 Å, I = 12, (1 3 5)
2θ = 40.30°, d = 2.238 Å, I = 13, (1 7 2)
2θ = 48.99°, d = 1.859 Å, I = 21, (2 6 1)